Simulated powder X-ray diffraction pattern of CaCd2AgHg2 for Cu Kα, from the PBE geometry in Alexandria.
Kinematic intensities with the Lorentz-polarization factor, no thermal factor.

Structure:
Cell: 4.291 4.291 21.605 Å, 90.00 90.00 90.00°
Fractional positions:
Ca1 0.000 0.000 0.000
Ca2 0.500 0.500 0.500
Cd1 0.000 0.500 0.250
Cd2 0.000 0.500 0.750
Cd3 0.500 0.000 0.250
Cd4 0.500 0.000 0.750
Ag1 0.000 0.000 0.500
Ag2 0.500 0.500 0.000
Hg1 0.000 0.000 0.144
Hg2 0.000 0.000 0.856
Hg3 0.500 0.500 0.356
Hg4 0.500 0.500 0.644

Largest 10 diffraction maxima, low angle first, 2θ from 10° to 90°:
| d/Å | two_theta | intensity | hkl |
| --- | --- | --- | --- |
| 4.209 | 21.11 | 23 | 1 0 1 |
| 3.686 | 24.14 | 100 | 1 0 3 |
| 2.921 | 30.60 | 26 | 1 1 2 |
| 2.701 | 33.17 | 24 | 0 0 8 |
| 2.646 | 33.88 | 43 | 1 1 4 |
| 2.506 | 35.84 | 21 | 1 0 7 |
| 2.320 | 38.81 | 65 | 1 1 6 |
| 2.146 | 42.11 | 39 | 2 0 0 |
| 1.854 | 49.13 | 31 | 2 1 3 |
| 1.680 | 54.63 | 22 | 2 0 8 |